[1]
Lu2C3N6: simulated X-ray powder pattern (a wavelength of 1.5418 Å), based on a structure optimized by DFT (GGA-PBE).
Kinematic intensities with the Lorentz-polarization factor, no thermal factor.

Main lines, by intensity (5 to 70 degrees two-theta):
d_spacing, 2theta, I_rel, (hkl)
2.650, 33.82, 100, 1 1 6
5.108, 17.36, 69, 0 1 2
4.932, 17.99, 53, 0 0 6
4.384, 20.26, 51, 1 0 4
3.142, 28.40, 51, 1 1 0
1.940, 46.83, 40, 1 1 12
1.703, 53.84, 21, 3 0 6
1.814, 50.29, 20, 3 0 0
1.497, 61.99, 17, 2 2 6
2.600, 34.50, 15, 1 0 10

Crystal structure
Cell lengths 6.2847, 6.2847, 29.5904 Å; angles 90.00, 90.00, 120.00 degrees
Space group R-3c (No. 167, hexagonal axes)
One atom of each set of equivalent atoms:
Lu 0.0000 0.0000 0.1642
C 0.0000 0.2957 0.2500
N 0.0039 0.4085 0.9562

[2]
U3Ga2Si3: simulated X-ray powder pattern (a wavelength of 1.5418 Å), based on a structure optimized by DFT (GGA-PBE).
Kinematic intensities with the Lorentz-polarization factor, no thermal factor.

Main lines, by intensity (5 to 70 degrees two-theta):
d_spacing, 2theta, I_rel, (hkl)
2.391, 37.62, 100, 3 1 3
2.438, 36.87, 92, 1 3 3
5.106, 17.37, 53, 0 0 2
2.457, 36.57, 45, 2 4 0
3.194, 27.94, 32, 3 1 1
5.292, 16.75, 31, 2 0 0
3.304, 26.98, 29, 1 3 1
1.763, 51.85, 26, 6 0 0
3.675, 24.22, 24, 2 0 2
6.128, 14.46, 23, 1 1 1

Crystal structure
Cell lengths 10.585, 11.099, 10.212 Å; angles 90.00, 90.00, 90.00 degrees
Space group Fmm2 (No. 42)
One atom of each set of equivalent atoms:
U 0.000 0.149 0.000
U 0.000 0.152 0.635
U 0.156 0.000 0.118
Ga 0.138 0.000 0.426
Ga 0.250 0.250 0.292
Si 0.000 0.154 0.312
Si 0.148 0.000 0.819
Si 0.250 0.250 0.041

[3]
Cu5Se2Cl2O8: simulated X-ray powder pattern (a wavelength of 1.5418 Å), based on a structure optimized by DFT (GGA-PBE).
Kinematic intensities with the Lorentz-polarization factor, no thermal factor.

Main lines, by intensity (5 to 70 degrees two-theta):
d_spacing, 2theta, I_rel, (hkl)
3.071, 29.08, 100, 1 2 1
2.645, 33.90, 85, 1 0 -4
6.623, 13.37, 73, 0 1 1
2.697, 33.22, 52, 1 1 3
3.303, 26.99, 50, 1 1 2
2.596, 34.55, 49, 2 1 -1
2.465, 36.45, 41, 0 3 2
2.305, 39.08, 37, 1 3 -2
3.284, 27.15, 35, 1 2 0
5.423, 16.35, 35, 1 0 0

Crystal structure
Cell lengths 5.491, 8.255, 11.237 Å; angles 90.00, 99.06, 90.00 degrees
Space group P2_1/c (No. 14)
One atom of each set of equivalent atoms:
Cu 0.000 0.000 0.000
Cu 0.480 0.076 0.880
Cu 0.482 0.214 0.616
Se 0.135 0.091 0.285
Cl 0.281 0.652 0.022
O 0.078 0.568 0.343
O 0.291 0.232 0.752
O 0.330 0.101 0.027
O 0.353 0.559 0.761